Structure and theoretical powder X-ray diffraction pattern of NaNiO2 (DFT lattice parameters and positions (GGA+U); copper Kα).
Intensities are scaled so that the largest is 100.

Atomic structure:
```
NaNiO2
1.0
5.927 0.000 0.000
0.000 6.775 0.000
-0.226 0.000 5.422
Na Ni O
4 4 8
Direct
0.136 0.133 0.335
0.136 0.367 0.835
0.864 0.633 0.165
0.864 0.867 0.665
0.370 0.746 0.641
0.370 0.754 0.141
0.630 0.246 0.859
0.630 0.254 0.359
0.161 0.719 0.890
0.161 0.781 0.390
0.423 0.241 0.606
0.423 0.259 0.106
0.577 0.741 0.894
0.577 0.759 0.394
0.839 0.219 0.610
0.839 0.281 0.110
```

Peak list (6 most intense, 10° ≤ 2θ ≤ 80°, by angle)
d [Å]  2θ (°)  intensity  h k l
5.922  14.96  42.4  1 0 0
4.459  19.91  58.1  1 1 0
3.388  26.31  100.0  0 2 0
2.940  30.40  30.5  1 2 0
2.713  33.02  30.7  2 1 0
1.959  46.35  27.0  2 0 2